This entry pairs a crystal structure of PrNbAs2Rh5 with its computed powder XRD pattern. Radiation: copper Kα. Structure: DFT lattice parameters and positions (PBE).
No peak broadening, texture or thermal motion is included.

Cell and atoms:
abc: 4.0742 4.0742 10.8275
angles: 90.00 90.00 90.00
Atoms (fractional coordinates):
Pr: 0.0000 0.0000 0.0000
Nb: 0.5000 0.5000 0.5000
As: 0.5000 0.5000 0.2193
As: 0.5000 0.5000 0.7807
Rh: 0.0000 0.5000 0.3493
Rh: 0.0000 0.5000 0.6507
Rh: 0.5000 0.0000 0.3493
Rh: 0.5000 0.0000 0.6507
Rh: 0.5000 0.5000 0.0000

Most intense lines, 2θ = 10–90°, low angle first:
| h k l | 2theta | d [Å] | intensity |
| --- | --- | --- | --- |
| 1 0 0 | 21.8 | 4.074 | 28 |
| 0 0 3 | 24.7 | 3.609 | 48 |
| 1 1 1 | 32.2 | 2.784 | 81 |
| 1 1 2 | 35.3 | 2.543 | 38 |
| 1 1 3 | 40.0 | 2.252 | 34 |
| 2 0 0 | 44.5 | 2.037 | 75 |
| 1 1 4 | 46.0 | 1.973 | 100 |
| 2 0 3 | 51.5 | 1.774 | 25 |
| 2 2 0 | 64.7 | 1.440 | 24 |
| 3 1 4 | 83.0 | 1.163 | 35 |